For BaCr4Cu3O12, a cell relaxed with GGA+U gives the computed X-ray powder pattern in this record (Cu Kα (weighted mean of Kα1 and Kα2)).
No peak broadening, texture or thermal motion is included.

Structure:
a = 7.491 Å, b = 7.491 Å, c = 7.491 Å
α = 90.00°, β = 90.00°, γ = 90.00°
Space group Im-3 (No. 204)
Inequivalent atoms, fractional coordinates:
1 Ba 0.000 0.000 0.000
2 Cr 0.250 0.250 0.250
3 Cu 0.000 0.000 0.500
4 O 0.000 0.319 0.175

Principal peaks in the range 2θ = 5–70°, sorted by position:
2theta  I/Imax  hkl
16.74  57  1 1 0
23.75  52  2 0 0
33.84  1000  2 2 0
37.98  96  3 0 1
41.77  58  2 2 2
45.29  77  3 1 2
48.61  235  4 0 0
60.55  474  4 2 2